# 1
For Tm12Co6Pt, a crystal structure in Alexandria, relaxed with GGA-PBE gives the theoretical X-ray diffraction stick pattern in this record (copper Kα).
Kinematic intensities with the Lorentz-polarization factor, no thermal factor.

Peak list (10 most intense, 2θ = 10–80°, by intensity)
- 35.80 deg, I 100.0
- 33.07 deg, I 61.2
- 30.11 deg, I 42.7
- 60.85 deg, I 39.2
- 57.24 deg, I 36.3
- 38.37 deg, I 24.6
- 71.03 deg, I 22.3
- 49.53 deg, I 21.0
- 59.06 deg, I 10.6
- 74.27 deg, I 10.0

Crystal structure
a = 8.1268 Å, b = 8.1268 Å, c = 8.1268 Å
α = 109.47°, β = 109.47°, γ = 109.47°
Sites, in units of the cell vectors:
Tm (0.1039, 0.2968, 0.8070)
Tm (0.1930, 0.4898, 0.2968)
Tm (0.1930, 0.8961, 0.7032)
Tm (0.2968, 0.1930, 0.4898)
Tm (0.2968, 0.8070, 0.1039)
Tm (0.4898, 0.2968, 0.1930)
Tm (0.5102, 0.7032, 0.8070)
Tm (0.7032, 0.1930, 0.8961)
Tm (0.7032, 0.8070, 0.5102)
Tm (0.8070, 0.1039, 0.2968)
Tm (0.8070, 0.5102, 0.7032)
Tm (0.8961, 0.7032, 0.1930)
Co (0.1157, 0.5000, 0.6157)
Co (0.3843, 0.8843, 0.5000)
Co (0.5000, 0.3843, 0.8843)
Co (0.5000, 0.6157, 0.1157)
Co (0.6157, 0.1157, 0.5000)
Co (0.8843, 0.5000, 0.3843)
Pt (0.0000, 0.0000, 0.0000)


# 2
For V5Co3Pt3, a crystal structure in Alexandria, relaxed with GGA-PBE gives the theoretical X-ray diffraction stick pattern in this record (copper Kα).
Kinematic intensities with the Lorentz-polarization factor, no thermal factor.

Peak list (10 most intense, 2θ = 10–80°, by intensity)
- 45.29 deg, I 100.0
- 40.84 deg, I 79.4
- 21.32 deg, I 75.3
- 24.66 deg, I 56.4
- 42.80 deg, I 51.4
- 48.29 deg, I 39.5
- 32.82 deg, I 37.4
- 58.10 deg, I 29.5
- 66.94 deg, I 28.3
- 37.37 deg, I 24.0

Crystal structure
a = 8.3361 Å, b = 8.3361 Å, c = 2.6059 Å
α = 90.00°, β = 90.00°, γ = 120.00°
Sites, in units of the cell vectors:
V (0.0000, 0.3117, 0.0000)
V (0.3117, 0.0000, 0.0000)
V (0.3333, 0.6667, 0.0000)
V (0.6667, 0.3333, 0.0000)
V (0.6883, 0.6883, 0.0000)
Co (0.0000, 0.8400, 0.0000)
Co (0.1600, 0.1600, 0.0000)
Co (0.8400, 0.0000, 0.0000)
Pt (0.0000, 0.5818, 0.5000)
Pt (0.4182, 0.4182, 0.5000)
Pt (0.5818, 0.0000, 0.5000)